Entry 1:
The following is a theoretical X-ray powder pattern of La3Sc. It was derived from a PBE-relaxed structure, using Cu Kα, 1.54184 Å.
Intensities are scaled so that the largest is 1000.

Cell lengths 11.8446, 3.6343, 6.2376 Å; angles 90.00, 100.33, 90.00 degrees
Space group C2/m (No. 12)
Asymmetric unit:
1 La 0.0000 0.0000 0.0000 (multiplicity 2)
2 La 0.2434 0.0000 0.7399 (multiplicity 4)
3 Sc 0.0000 0.5000 0.5000 (multiplicity 2)

Main lines, sorted by position (2θ from 10° to 80°):
d 2.953, I = 1000; d 2.941, I = 497; d 2.913, I = 477; d 2.552, I = 671; d 2.534, I = 321; d 1.805, I = 233; d 1.792, I = 336; d 1.546, I = 141; d 1.533, I = 196; d 1.529, I = 142



Entry 2:
The following is a theoretical X-ray powder pattern of LaSc2. It was derived from a PBE-relaxed structure, using Cu Kα, 1.54184 Å.
Intensities are scaled so that the largest is 1000.

Cell lengths 10.3986, 6.0264, 6.4215 Å; angles 90.00, 122.24, 90.00 degrees
Space group C2/c (No. 15)
Asymmetric unit:
1 La 0.0000 0.0940 0.2500 (multiplicity 4)
2 Sc 0.1638 0.4210 0.7581 (multiplicity 8)

Main lines, sorted by position (2θ from 10° to 80°):
d 4.971, I = 321; d 4.392, I = 333; d 3.007, I = 357; d 2.716, I = 358; d 2.636, I = 1000; d 2.622, I = 465; d 2.020, I = 140; d 1.738, I = 176; d 1.466, I = 148; d 1.451, I = 136



Entry 3:
The following is a theoretical X-ray powder pattern of LaTh2ScSe4. It was derived from a PBE-relaxed structure, using Cu Kα, 1.54184 Å.
Intensities are scaled so that the largest is 1000.

Cell lengths 7.0769, 4.1167, 7.3816 Å; angles 90.00, 108.77, 90.00 degrees
Space group P2/m (No. 10)
Asymmetric unit:
1 La 0.0000 0.0000 0.0000 (multiplicity 1)
2 Th 0.0000 0.5000 0.5000 (multiplicity 1)
3 Th 0.5000 0.0000 0.5000 (multiplicity 1)
4 Sc 0.5000 0.5000 0.0000 (multiplicity 1)
5 Se 0.2630 0.5000 0.2410 (multiplicity 2)
6 Se 0.2710 0.0000 0.7686 (multiplicity 2)

Main lines, sorted by position (2θ from 10° to 80°):
d 6.989, I = 146; d 3.502, I = 141; d 3.371, I = 100; d 2.940, I = 1000; d 2.111, I = 260; d 2.104, I = 125; d 2.058, I = 122; d 2.047, I = 234; d 1.685, I = 129; d 1.471, I = 80



Entry 4:
The following is a theoretical X-ray powder pattern of LaTm2ScSe4. It was derived from a PBE-relaxed structure, using Cu Kα, 1.54184 Å.
Intensities are scaled so that the largest is 1000.

Cell lengths 8.1558, 8.1814, 11.4477 Å; angles 90.00, 90.00, 90.00 degrees
Space group Fmmm (No. 69)
Asymmetric unit:
1 La 0.0000 0.0000 0.0000 (multiplicity 4)
2 Tm 0.2500 0.2500 0.2500 (multiplicity 8)
3 Sc 0.0000 0.0000 0.5000 (multiplicity 4)
4 Se 0.0000 0.0000 0.2626 (multiplicity 8)
5 Se 0.2500 0.2500 0.0000 (multiplicity 8)

Main lines, sorted by position (2θ from 10° to 80°):
d 3.325, I = 162; d 2.888, I = 1000; d 2.862, I = 479; d 2.045, I = 185; d 2.039, I = 183; d 2.033, I = 713; d 1.664, I = 188; d 1.661, I = 187; d 1.289, I = 242; d 1.282, I = 149



Entry 5:
The following is a theoretical X-ray powder pattern of LaSc2Si4. It was derived from a PBE-relaxed structure, using Cu Kα, 1.54184 Å.
Intensities are scaled so that the largest is 1000.

Cell lengths 3.8363, 4.2000, 17.0247 Å; angles 90.00, 90.00, 90.00 degrees
Space group Immm (No. 71)
Asymmetric unit:
1 La 0.0000 0.0000 0.0000 (multiplicity 2)
2 Sc 0.0000 0.5000 0.3164 (multiplicity 4)
3 Si 0.0000 0.0000 0.4288 (multiplicity 4)
4 Si 0.0000 0.5000 0.1566 (multiplicity 4)

Main lines, sorted by position (2θ from 10° to 80°):
d 8.512, I = 446; d 4.078, I = 166; d 3.178, I = 279; d 2.837, I = 217; d 2.688, I = 1000; d 2.645, I = 417; d 2.358, I = 317; d 2.100, I = 213; d 2.054, I = 234; d 1.918, I = 159



Entry 6:
The following is a theoretical X-ray powder pattern of La5SmSc. It was derived from a PBE-relaxed structure, using Cu Kα, 1.54184 Å.
Intensities are scaled so that the largest is 1000.

Cell lengths 5.4785, 5.4785, 8.5376 Å; angles 90.00, 90.00, 90.00 degrees
Space group P4/mmm (No. 123)
Asymmetric unit:
1 La 0.0000 0.0000 0.0000 (multiplicity 1)
2 La 0.0000 0.5000 0.2919 (multiplicity 4)
3 Sm 0.5000 0.5000 0.0000 (multiplicity 1)
4 Sc 0.5000 0.5000 0.5000 (multiplicity 1)

Main lines, sorted by position (2θ from 10° to 80°):
d 3.528, I = 389; d 2.869, I = 1000; d 2.846, I = 150; d 2.739, I = 526; d 1.974, I = 210; d 1.937, I = 191; d 1.684, I = 114; d 1.605, I = 349; d 1.562, I = 149; d 1.216, I = 130